Diffraction record for TmAl8Cu4. The PXRD pattern is theoretical, not measured: it uses DFT lattice parameters and positions (PBE) and CuKα.

Crystal structure
```
data_TmAl8Cu4
_chemical_formula_sum 'Tm2 Al16 Cu8'
_cell_length_a 8.7875
_cell_length_b 8.7875
_cell_length_c 5.1198
_cell_angle_alpha 90.00
_cell_angle_beta 90.00
_cell_angle_gamma 90.00
_symmetry_space_group_name_H-M 'I 4/m m m'
_symmetry_Int_Tables_number 139
_symmetry_space_group_name_Hall '-I 4 2'
loop_
_atom_site_label
_atom_site_fract_x
_atom_site_fract_y
_atom_site_fract_z
Tm1 0.0000 0.0000 0.0000
Al1 0.0000 0.2180 0.5000
Al2 0.0000 0.3476 0.0000
Cu1 0.2500 0.2500 0.2500
```

Largest 10 diffraction maxima, sorted by position, 2θ from 15° to 90°:
(hkl)  2theta  d [Å]  Rel. int.
1 0 1  20.07  4.424  31
2 2 0  28.68  3.112  82
3 1 0  32.21  2.779  18
3 0 1  35.30  2.542  31
2 0 2  40.80  2.212  77
4 0 0  41.05  2.199  100
4 2 2  59.29  1.559  29
4 4 0  59.49  1.554  15
6 2 0  67.38  1.390  17
6 0 2  74.66  1.271  17

Diffraction record for TmAlCu. The PXRD pattern is theoretical, not measured: it uses DFT lattice parameters and positions (PBE) and CuKα.

Crystal structure
```
data_TmAlCu
_chemical_formula_sum 'Tm4 Al4 Cu4'
_cell_length_a 5.3716
_cell_length_b 5.3806
_cell_length_c 7.4811
_cell_angle_alpha 90.00
_cell_angle_beta 90.00
_cell_angle_gamma 90.00
_symmetry_space_group_name_H-M 'I m m a'
_symmetry_Int_Tables_number 74
_symmetry_space_group_name_Hall '-I 2b 2'
loop_
_atom_site_label
_atom_site_fract_x
_atom_site_fract_y
_atom_site_fract_z
Tm1 0.0000 0.2500 0.1249
Al1 0.0000 0.0000 0.5000
Cu1 0.2500 0.2500 0.7500
```

Largest 10 diffraction maxima, sorted by position, 2θ from 15° to 90°:
(hkl)  2theta  d [Å]  Rel. int.
1 0 1  20.35  4.364  50
0 2 0  33.32  2.689  42
1 1 2  33.61  2.666  77
2 1 1  39.37  2.289  100
0 1 3  39.85  2.262  48
2 0 2  41.36  2.183  14
3 1 2  59.75  1.548  30
2 0 4  60.29  1.535  15
2 3 1  63.63  1.462  24
2 2 4  70.66  1.333  21

Diffraction record for TmAlCu. The PXRD pattern is theoretical, not measured: it uses DFT lattice parameters and positions (PBE) and CuKα.

Crystal structure
```
data_TmAlCu
_chemical_formula_sum 'Tm3 Al3 Cu3'
_cell_length_a 6.9952
_cell_length_b 6.9952
_cell_length_c 3.9222
_cell_angle_alpha 90.00
_cell_angle_beta 90.00
_cell_angle_gamma 120.00
_symmetry_space_group_name_H-M 'P -6 2 m'
_symmetry_Int_Tables_number 189
_symmetry_space_group_name_Hall 'P -6 -2'
loop_
_atom_site_label
_atom_site_fract_x
_atom_site_fract_y
_atom_site_fract_z
Tm1 0.0000 0.5857 0.0000
Al1 0.0000 0.2380 0.5000
Cu1 0.0000 0.0000 0.0000
Cu2 0.3333 0.6667 0.5000
```

Largest 10 diffraction maxima, sorted by position, 2θ from 15° to 90°:
(hkl)  2theta  d [Å]  Rel. int.
0 0 1  22.67  3.922  29
1 1 0  25.47  3.498  39
2 0 0  29.49  3.029  33
1 1 1  34.35  2.610  100
2 0 1  37.52  2.397  94
2 1 0  39.35  2.290  31
0 0 2  46.30  1.961  22
3 1 0  54.62  1.680  25
3 1 1  59.89  1.544  35
3 1 2  74.34  1.276  21

Diffraction record for UAl7Cu5. The PXRD pattern is theoretical, not measured: it uses DFT lattice parameters and positions (PBE) and CuKα.

Crystal structure
```
data_UAl7Cu5
_chemical_formula_sum 'U2 Al14 Cu10'
_cell_length_a 5.1047
_cell_length_b 8.7499
_cell_length_c 8.6617
_cell_angle_alpha 90.00
_cell_angle_beta 90.00
_cell_angle_gamma 90.00
_symmetry_space_group_name_H-M 'I m m 2'
_symmetry_Int_Tables_number 44
_symmetry_space_group_name_Hall 'I 2 -2'
loop_
_atom_site_label
_atom_site_fract_x
_atom_site_fract_y
_atom_site_fract_z
U1 0.0000 0.0000 0.0000
Al1 0.0000 0.0000 0.3486
Al2 0.0000 0.0000 0.6546
Al3 0.0000 0.2905 0.4936
Al4 0.0000 0.3470 0.0070
Al5 0.0000 0.5000 0.7225
Cu1 0.0000 0.5000 0.2769
Cu2 0.2482 0.2515 0.7488
```

Largest 10 diffraction maxima, sorted by position, 2θ from 15° to 90°:
(hkl)  2theta  d [Å]  Rel. int.
1 0 1  20.17  4.402  62
1 2 1  28.78  3.102  46
1 1 2  28.90  3.090  66
0 2 2  29.01  3.078  55
2 2 0  40.94  2.205  70
2 0 2  41.05  2.199  51
0 4 0  41.29  2.187  100
1 2 3  41.44  2.179  50
0 0 4  41.71  2.165  40
2 2 4  59.86  1.545  37

Diffraction record for UAl2Cu3. The PXRD pattern is theoretical, not measured: it uses DFT lattice parameters and positions (PBE) and CuKα.

Crystal structure
```
data_UAl2Cu3
_chemical_formula_sum 'U1 Al2 Cu3'
_cell_length_a 5.2480
_cell_length_b 5.2480
_cell_length_c 3.9797
_cell_angle_alpha 90.00
_cell_angle_beta 90.00
_cell_angle_gamma 120.00
_symmetry_space_group_name_H-M 'P 6/m m m'
_symmetry_Int_Tables_number 191
_symmetry_space_group_name_Hall '-P 6 2'
loop_
_atom_site_label
_atom_site_fract_x
_atom_site_fract_y
_atom_site_fract_z
U1 0.0000 0.0000 0.0000
Al1 0.3333 0.6667 0.0000
Cu1 0.0000 0.5000 0.5000
```

Largest 10 diffraction maxima, sorted by position, 2θ from 15° to 90°:
(hkl)  2theta  d [Å]  Rel. int.
1 0 0  19.53  4.545  30
1 0 1  29.84  2.994  100
1 1 0  34.17  2.624  22
2 0 0  39.66  2.272  54
1 1 1  41.21  2.191  72
0 0 2  45.59  1.990  17
2 1 1  58.52  1.577  31
2 0 2  61.99  1.497  28
3 0 1  65.98  1.416  18
2 2 2  89.47  1.095  15

Diffraction record for UAl5Cu6. The PXRD pattern is theoretical, not measured: it uses DFT lattice parameters and positions (PBE) and CuKα.

Crystal structure
```
data_UAl5Cu6
_chemical_formula_sum 'U8 Al40 Cu48'
_cell_length_a 6.5988
_cell_length_b 14.1840
_cell_length_c 14.9650
_cell_angle_alpha 90.00
_cell_angle_beta 90.00
_cell_angle_gamma 90.00
_symmetry_space_group_name_H-M 'F d d d'
_symmetry_Int_Tables_number 70
loop_
_symmetry_equiv_pos_as_xyz
'x,y,z'
'-x,-y,-z'
'-x+1/4,-y+1/4,z'
'x+1/4,y+1/4,-z'
'x,-y+1/4,-z+1/4'
'-x,y+1/4,z+1/4'
'-x+1/4,y,-z+1/4'
'x+1/4,-y,z+1/4'
'x,y+1/2,z+1/2'
'-x,-y+1/2,-z+1/2'
'-x+1/4,-y+3/4,z+1/2'
'x+1/4,y+3/4,-z+1/2'
'x,-y+3/4,-z+3/4'
'-x,y+3/4,z+3/4'
'-x+1/4,y+1/2,-z+3/4'
'x+1/4,-y+1/2,z+3/4'
'x+1/2,y,z+1/2'
'-x+1/2,-y,-z+1/2'
'-x+3/4,-y+1/4,z+1/2'
'x+3/4,y+1/4,-z+1/2'
'x+1/2,-y+1/4,-z+3/4'
'-x+1/2,y+1/4,z+3/4'
'-x+3/4,y,-z+3/4'
'x+3/4,-y,z+3/4'
'x+1/2,y+1/2,z'
'-x+1/2,-y+1/2,-z'
'-x+3/4,-y+3/4,z'
'x+3/4,y+3/4,-z'
'x+1/2,-y+3/4,-z+1/4'
'-x+1/2,y+3/4,z+1/4'
'-x+3/4,y+1/2,-z+1/4'
'x+3/4,-y+1/2,z+1/4'
loop_
_atom_site_label
_atom_site_fract_x
_atom_site_fract_y
_atom_site_fract_z
U1 0.1250 0.1250 0.1250
Al1 0.0784 0.3299 0.0379
Al2 0.1250 0.1250 0.6250
Cu1 0.0000 0.0000 0.5000
Cu2 0.0660 0.0377 0.3381
```

Largest 10 diffraction maxima, sorted by position, 2θ from 15° to 90°:
(hkl)  2theta  d [Å]  Rel. int.
1 3 1  23.90  3.723  100
1 3 3  29.34  3.044  29
2 2 0  29.87  2.992  44
1 1 5  33.48  2.677  87
0 4 4  34.91  2.570  62
0 2 6  38.25  2.353  32
2 2 4  38.53  2.336  76
2 4 2  39.19  2.299  83
0 6 2  40.00  2.254  70
3 1 1  42.00  2.151  61

Diffraction record for U2Al3Cu7. The PXRD pattern is theoretical, not measured: it uses DFT lattice parameters and positions (PBE) and CuKα.

Crystal structure
```
data_U2Al3Cu7
_chemical_formula_sum 'U2 Al3 Cu7'
_cell_length_a 5.0749
_cell_length_b 4.1556
_cell_length_c 8.8027
_cell_angle_alpha 90.00
_cell_angle_beta 91.32
_cell_angle_gamma 90.00
_symmetry_space_group_name_H-M 'P 1 2/m 1'
_symmetry_Int_Tables_number 10
_symmetry_space_group_name_Hall '-P 2y'
loop_
_atom_site_label
_atom_site_fract_x
_atom_site_fract_y
_atom_site_fract_z
U1 0.2464 0.0000 0.2507
Al1 0.0000 0.5000 0.0000
Al2 0.2608 0.5000 0.7433
Cu1 0.0000 0.5000 0.5000
Cu2 0.2491 0.0000 0.5799
Cu3 0.2559 0.0000 0.9159
Cu4 0.5000 0.5000 0.0000
Cu5 0.5000 0.5000 0.5000
```

Largest 10 diffraction maxima, sorted by position, 2θ from 15° to 90°:
(hkl)  2theta  d [Å]  Rel. int.
1 0 1  20.41  4.352  34
0 1 0  21.38  4.156  63
1 1 -1  29.44  3.034  51
0 1 2  29.57  3.021  73
1 0 -3  34.98  2.565  51
1 0 3  35.71  2.514  37
1 1 -3  41.36  2.183  68
2 1 0  41.72  2.165  100
1 1 3  42.00  2.151  81
0 2 0  43.56  2.078  55

Diffraction record for U2AlCu3. The PXRD pattern is theoretical, not measured: it uses DFT lattice parameters and positions (PBE) and CuKα.

Crystal structure
```
data_U2AlCu3
_chemical_formula_sum 'U4 Al2 Cu6'
_cell_length_a 5.4512
_cell_length_b 5.4512
_cell_length_c 7.6711
_cell_angle_alpha 90.00
_cell_angle_beta 90.00
_cell_angle_gamma 120.00
_symmetry_space_group_name_H-M 'P 63/m m c'
_symmetry_Int_Tables_number 194
_symmetry_space_group_name_Hall '-P 6c 2c'
loop_
_atom_site_label
_atom_site_fract_x
_atom_site_fract_y
_atom_site_fract_z
U1 0.3333 0.6667 0.0857
Al1 0.0000 0.0000 0.0000
Cu1 0.1748 0.3496 0.7500
```

Largest 10 diffraction maxima, sorted by position, 2θ from 15° to 90°:
(hkl)  2theta  d [Å]  Rel. int.
1 0 0  18.80  4.721  47
1 0 1  22.11  4.021  37
1 1 0  32.86  2.726  69
2 0 0  38.12  2.360  25
2 0 1  39.96  2.256  68
1 0 3  40.10  2.248  100
1 1 2  40.61  2.222  44
2 1 3  63.58  1.463  48
2 2 0  68.90  1.363  22
3 1 3  82.80  1.166  34

Diffraction record for UAl6Cu6. The PXRD pattern is theoretical, not measured: it uses DFT lattice parameters and positions (PBE) and CuKα.

Crystal structure
```
data_UAl6Cu6
_chemical_formula_sum 'U4 Al24 Cu24'
_cell_length_a 5.0144
_cell_length_b 12.2410
_cell_length_c 12.4612
_cell_angle_alpha 90.00
_cell_angle_beta 90.00
_cell_angle_gamma 90.00
_symmetry_space_group_name_H-M 'F m m m'
_symmetry_Int_Tables_number 69
_symmetry_space_group_name_Hall '-F 2 2'
loop_
_atom_site_label
_atom_site_fract_x
_atom_site_fract_y
_atom_site_fract_z
U1 0.0000 0.0000 0.0000
Al1 0.0000 0.1226 0.3892
Al2 0.2500 0.0000 0.2500
Cu1 0.0000 0.1725 0.1761
Cu2 0.2500 0.2500 0.0000
```

Largest 10 diffraction maxima, sorted by position, 2θ from 15° to 90°:
(hkl)  2theta  d [Å]  Rel. int.
1 1 1  20.41  4.351  100
0 4 0  29.13  3.065  27
0 4 2  32.60  2.747  35
1 3 3  35.66  2.517  95
1 1 5  41.11  2.196  47
0 4 4  41.36  2.183  44
2 2 2  41.53  2.174  76
1 5 1  41.69  2.166  40
2 2 4  48.95  1.861  22
2 6 6  75.54  1.259  22

Diffraction record for UAl2Cu. The PXRD pattern is theoretical, not measured: it uses DFT lattice parameters and positions (PBE) and CuKα.

Crystal structure
```
data_UAl2Cu
_chemical_formula_sum 'U4 Al8 Cu4'
_cell_length_a 6.6415
_cell_length_b 6.6415
_cell_length_c 6.6415
_cell_angle_alpha 90.00
_cell_angle_beta 90.00
_cell_angle_gamma 90.00
_symmetry_space_group_name_H-M 'F m -3 m'
_symmetry_Int_Tables_number 225
_symmetry_space_group_name_Hall '-F 4 2 3'
loop_
_atom_site_label
_atom_site_fract_x
_atom_site_fract_y
_atom_site_fract_z
U1 0.0000 0.0000 0.0000
Al1 0.2500 0.2500 0.2500
Cu1 0.0000 0.0000 0.5000
```

Largest 10 diffraction maxima, sorted by position, 2θ from 15° to 90°:
(hkl)  2theta  d [Å]  Rel. int.
1 1 1  23.20  3.834  47
2 0 0  26.85  3.321  60
2 2 0  38.33  2.348  100
3 1 1  45.29  2.002  26
2 2 2  47.42  1.917  18
4 0 0  55.33  1.660  17
3 3 1  60.79  1.524  12
4 2 0  62.55  1.485  23
4 2 2  69.31  1.356  36
6 0 0  88.29  1.107  12

Diffraction record for Al5CuW2. The PXRD pattern is theoretical, not measured: it uses DFT lattice parameters and positions (PBE) and CuKα.

Crystal structure
```
data_Al5CuW2
_chemical_formula_sum 'Al5 Cu1 W2'
_cell_length_a 3.7819
_cell_length_b 3.7819
_cell_length_c 8.2577
_cell_angle_alpha 90.00
_cell_angle_beta 90.00
_cell_angle_gamma 90.00
_symmetry_space_group_name_H-M 'P 4/m m m'
_symmetry_Int_Tables_number 123
_symmetry_space_group_name_Hall '-P 4 2'
loop_
_atom_site_label
_atom_site_fract_x
_atom_site_fract_y
_atom_site_fract_z
Al1 0.0000 0.0000 0.0000
Al2 0.0000 0.5000 0.2611
Cu1 0.5000 0.5000 0.5000
W1 0.0000 0.0000 0.5000
W2 0.5000 0.5000 0.0000
```

Largest 10 diffraction maxima, sorted by position, 2θ from 15° to 90°:
(hkl)  2theta  d [Å]  Rel. int.
0 0 2  21.52  4.129  47
1 0 1  25.91  3.438  69
1 1 0  33.51  2.674  31
1 1 2  40.18  2.245  100
1 0 3  40.53  2.226  22
0 0 4  43.85  2.064  19
2 0 0  48.12  1.891  30
2 1 1  55.46  1.657  18
2 0 4  67.13  1.394  22
3 1 2  84.30  1.149  23

Diffraction record for Y3Al7Cu2. The PXRD pattern is theoretical, not measured: it uses DFT lattice parameters and positions (PBE) and CuKα.

Crystal structure
```
data_Y3Al7Cu2
_chemical_formula_sum 'Y9 Al21 Cu6'
_cell_length_a 5.5021
_cell_length_b 5.5021
_cell_length_c 25.4759
_cell_angle_alpha 90.00
_cell_angle_beta 90.00
_cell_angle_gamma 120.00
_symmetry_space_group_name_H-M 'R -3 m'
_symmetry_Int_Tables_number 166
_symmetry_space_group_name_Hall '-R 3 2"'
loop_
_atom_site_label
_atom_site_fract_x
_atom_site_fract_y
_atom_site_fract_z
Y1 0.0000 0.0000 0.0000
Y2 0.0000 0.0000 0.1419
Al1 0.0000 0.0000 0.5000
Al2 0.0060 0.5030 0.9213
Cu1 0.0000 0.0000 0.3352
```

Largest 10 diffraction maxima, sorted by position, 2θ from 15° to 90°:
(hkl)  2theta  d [Å]  Rel. int.
0 0 6  20.92  4.246  20
1 0 7  30.92  2.892  26
1 1 0  32.55  2.751  70
0 1 8  33.86  2.648  21
0 2 1  37.93  2.372  19
1 1 6  39.01  2.309  100
3 0 0  58.07  1.588  13
3 0 6  62.43  1.488  24
2 0 14  64.46  1.446  20
2 2 0  68.18  1.376  19

Diffraction record for AlZnCu2. The PXRD pattern is theoretical, not measured: it uses DFT lattice parameters and positions (PBE) and CuKα.

Crystal structure
```
data_AlZnCu2
_chemical_formula_sum 'Al4 Zn4 Cu8'
_cell_length_a 5.9263
_cell_length_b 5.9263
_cell_length_c 5.9263
_cell_angle_alpha 90.00
_cell_angle_beta 90.00
_cell_angle_gamma 90.00
_symmetry_space_group_name_H-M 'F m -3 m'
_symmetry_Int_Tables_number 225
_symmetry_space_group_name_Hall '-F 4 2 3'
loop_
_atom_site_label
_atom_site_fract_x
_atom_site_fract_y
_atom_site_fract_z
Al1 0.0000 0.0000 0.0000
Zn1 0.0000 0.0000 0.5000
Cu1 0.2500 0.2500 0.2500
```

Largest 10 diffraction maxima, sorted by position, 2θ from 15° to 90°:
(hkl)  2theta  d [Å]  Rel. int.
1 1 1  26.04  3.422  9
2 0 0  30.16  2.963  4
2 2 0  43.18  2.095  100
3 1 1  51.12  1.787  4
2 2 2  53.57  1.711  1
4 0 0  62.71  1.482  15
3 3 1  69.09  1.360  2
4 2 0  71.15  1.325  1
4 2 2  79.18  1.210  30
5 1 1  85.05  1.141  1

Diffraction record for ZrAlCu. The PXRD pattern is theoretical, not measured: it uses DFT lattice parameters and positions (PBE) and CuKα.

Crystal structure
```
data_ZrAlCu
_chemical_formula_sum 'Zr4 Al4 Cu4'
_cell_length_a 5.1651
_cell_length_b 5.2740
_cell_length_c 7.2541
_cell_angle_alpha 90.00
_cell_angle_beta 90.00
_cell_angle_gamma 90.00
_symmetry_space_group_name_H-M 'I m m a'
_symmetry_Int_Tables_number 74
_symmetry_space_group_name_Hall '-I 2b 2'
loop_
_atom_site_label
_atom_site_fract_x
_atom_site_fract_y
_atom_site_fract_z
Zr1 0.0000 0.2500 0.1250
Al1 0.0000 0.0000 0.5000
Cu1 0.2500 0.2500 0.7500
```

Largest 10 diffraction maxima, sorted by position, 2θ from 15° to 90°:
(hkl)  2theta  d [Å]  Rel. int.
1 0 1  21.12  4.208  23
0 2 0  34.00  2.637  42
1 1 2  34.68  2.586  81
1 2 1  40.37  2.234  49
2 1 1  40.85  2.209  100
0 1 3  41.06  2.198  49
1 0 3  41.22  2.190  23
0 2 2  42.38  2.133  23
2 3 1  65.51  1.425  23
2 2 4  73.18  1.293  32